Computed XRD peak list of CsC for Cu Kα, from the GGA-PBE geometry in Alexandria.

Atomic structure:
```
data_CsC
_chemical_formula_sum 'Cs8 C8'
_symmetry_space_group_name_H-M 'P 21 21 21'
_symmetry_Int_Tables_number 19
_cell_length_a 6.1211
_cell_length_b 8.4808
_cell_length_c 10.2644
_cell_angle_alpha 90.00
_cell_angle_beta 90.00
_cell_angle_gamma 90.00
loop_
_symmetry_equiv_pos_as_xyz
'x,y,z'
'-x+1/2,-y,z+1/2'
'x+1/2,-y+1/2,-z'
'-x,y+1/2,-z+1/2'
loop_
_atom_site_label
_atom_site_type_symbol
_atom_site_fract_x
_atom_site_fract_y
_atom_site_fract_z
Cs1 Cs 0.0042 0.1148 0.0854
Cs2 Cs 0.0172 0.7249 0.8371
C1 C 0.0773 0.0127 0.4049
C2 C 0.1248 0.4969 0.1202
```

Most intense lines, 10 to 90 degrees two-theta, most intense first:
2theta  d_spacing  I/Imax  hkl
24.96  3.568  1000  1 1 2
25.56  3.486  386  1 2 0
27.01  3.301  361  1 2 1
29.18  3.061  328  2 0 0
19.87  4.468  170  1 1 1
46.17  1.966  167  2 0 4
29.92  2.987  165  1 0 3
49.25  1.850  165  3 1 2
28.12  3.173  162  0 1 3
32.86  2.725  157  0 3 1
36.25  2.478  148  0 3 2
20.22  4.391  148  0 1 2

Computed XRD peak list of Cs2TiCuI6 for Cu Kα, from the GGA-PBE geometry in Alexandria.

Atomic structure:
```
data_Cs2TiCuI6
_chemical_formula_sum 'Cs4 Ti2 Cu2 I12'
_symmetry_space_group_name_H-M 'I m m 2'
_symmetry_Int_Tables_number 44
_cell_length_a 8.6048
_cell_length_b 9.9078
_cell_length_c 9.6514
_cell_angle_alpha 90.00
_cell_angle_beta 90.00
_cell_angle_gamma 90.00
loop_
_symmetry_equiv_pos_as_xyz
'x,y,z'
'-x,-y,z'
'-x,y,z'
'x,-y,z'
'x+1/2,y+1/2,z+1/2'
'-x+1/2,-y+1/2,z+1/2'
'-x+1/2,y+1/2,z+1/2'
'x+1/2,-y+1/2,z+1/2'
loop_
_atom_site_label
_atom_site_type_symbol
_atom_site_fract_x
_atom_site_fract_y
_atom_site_fract_z
Cs1 Cs 0.0000 0.2417 0.0000
Ti1 Ti 0.0000 0.0000 0.4834
Cu1 Cu 0.0000 0.5000 0.3458
I1 I 0.0000 0.2855 0.5110
I2 I 0.2282 0.0000 0.7190
I3 I 0.2315 0.0000 0.2887
```

Most intense lines, 10 to 90 degrees two-theta, most intense first:
2theta  d_spacing  I/Imax  hkl
25.77  3.457  1000  0 2 2
27.78  3.211  912  2 0 2
27.46  3.248  725  2 2 0
46.29  1.961  370  2 4 2
46.91  1.937  287  2 2 4
49.93  1.826  283  4 2 2
36.27  2.477  251  0 4 0
44.61  2.031  190  2 3 3
42.00  2.151  178  4 0 0
37.27  2.413  148  0 0 4
56.67  1.624  118  4 4 0
36.02  2.494  112  2 1 3

Computed XRD peak list of Ni7Ir3 for Cu Kα, from the GGA-PBE geometry in Alexandria.

Atomic structure:
```
data_Ni7Ir3
_chemical_formula_sum 'Ni14 Ir6'
_symmetry_space_group_name_H-M 'C 1 2/m 1'
_symmetry_Int_Tables_number 12
_cell_length_a 13.1360
_cell_length_b 3.6448
_cell_length_c 5.1547
_cell_angle_alpha 90.00
_cell_angle_beta 101.87
_cell_angle_gamma 90.00
loop_
_symmetry_equiv_pos_as_xyz
'x,y,z'
'-x,-y,-z'
'-x,y,-z'
'x,-y,z'
'x+1/2,y+1/2,z'
'-x+1/2,-y+1/2,-z'
'-x+1/2,y+1/2,-z'
'x+1/2,-y+1/2,z'
loop_
_atom_site_label
_atom_site_type_symbol
_atom_site_fract_x
_atom_site_fract_y
_atom_site_fract_z
Ni1 Ni 0.0000 0.0000 0.0000
Ni2 Ni 0.0984 0.5000 0.3008
Ni3 Ni 0.0987 0.5000 0.8006
Ni4 Ni 0.1993 0.0000 0.5957
Ir1 Ir 0.0000 0.0000 0.5000
Ir2 Ir 0.1991 0.0000 0.1033
```

Most intense lines, 10 to 90 degrees two-theta, most intense first:
2theta  d_spacing  I/Imax  hkl
43.02  2.103  1000  5 1 0
49.86  1.829  161  6 0 -2
50.05  1.822  160  0 2 0
50.37  1.811  156  4 0 2
73.73  1.285  146  4 2 2
24.57  3.623  141  2 0 1
34.74  2.582  118  3 1 -1
73.33  1.291  99  6 2 -2
25.40  3.507  76  1 1 0
89.09  1.099  63  1 3 -2
89.54  1.095  61  3 1 4
88.75  1.102  61  7 1 -4

Computed XRD peak list of CsTmS for Cu Kα, from the GGA-PBE geometry in Alexandria.

Atomic structure:
```
data_CsTmS
_chemical_formula_sum 'Cs4 Tm4 S4'
_symmetry_space_group_name_H-M 'P c c a'
_symmetry_Int_Tables_number 54
_cell_length_a 6.9664
_cell_length_b 7.8213
_cell_length_c 6.9662
_cell_angle_alpha 90.00
_cell_angle_beta 90.00
_cell_angle_gamma 90.00
loop_
_symmetry_equiv_pos_as_xyz
'x,y,z'
'-x,-y,-z'
'-x+1/2,-y,z'
'x+1/2,y,-z'
'x+1/2,-y,-z+1/2'
'-x+1/2,y,z+1/2'
'-x,y,-z+1/2'
'x,-y,z+1/2'
loop_
_atom_site_label
_atom_site_type_symbol
_atom_site_fract_x
_atom_site_fract_y
_atom_site_fract_z
Cs1 Cs 0.2500 0.0000 0.0009
Tm1 Tm 0.2500 0.5000 0.0000
S1 S 0.0000 0.3535 0.2500
```

Most intense lines, 10 to 90 degrees two-theta, most intense first:
2theta  d_spacing  I/Imax  hkl
34.48  2.601  1000  2 2 0
25.57  3.483  800  2 0 0
22.74  3.911  642  0 2 0
36.48  2.463  498  2 0 2
43.42  2.084  495  2 2 2
64.38  1.447  326  4 2 2
53.76  1.705  314  2 4 0
78.51  1.218  209  4 4 2
57.97  1.591  200  4 2 0
52.55  1.742  173  4 0 0
59.33  1.558  159  4 0 2
60.45  1.531  155  2 4 2

Computed XRD peak list of La2Nd3Tl2 for Cu Kα, from the GGA-PBE geometry in Alexandria.

Atomic structure:
```
data_La2Nd3Tl2
_chemical_formula_sum 'La4 Nd6 Tl4'
_symmetry_space_group_name_H-M 'C 1 2/m 1'
_symmetry_Int_Tables_number 12
_cell_length_a 9.7676
_cell_length_b 5.6425
_cell_length_c 9.0009
_cell_angle_alpha 90.00
_cell_angle_beta 111.25
_cell_angle_gamma 90.00
loop_
_symmetry_equiv_pos_as_xyz
'x,y,z'
'-x,-y,-z'
'-x,y,-z'
'x,-y,z'
'x+1/2,y+1/2,z'
'-x+1/2,-y+1/2,-z'
'-x+1/2,y+1/2,-z'
'x+1/2,-y+1/2,z'
loop_
_atom_site_label
_atom_site_type_symbol
_atom_site_fract_x
_atom_site_fract_y
_atom_site_fract_z
La1 La 0.0788 0.0000 0.2364
Nd1 Nd 0.0000 0.5000 0.5000
Nd2 Nd 0.1533 0.5000 0.9600
Tl1 Tl 0.2178 0.0000 0.6536
```

Most intense lines, 10 to 90 degrees two-theta, most intense first:
2theta  d_spacing  I/Imax  hkl
31.73  2.820  1000  0 2 0
30.88  2.896  980  1 1 2
55.99  1.642  368  4 2 1
44.86  2.020  353  4 0 1
56.51  1.628  196  6 0 -2
74.90  1.268  156  7 1 0
54.38  1.687  151  2 0 4
73.53  1.288  124  5 1 3
66.28  1.410  121  0 4 0
64.34  1.448  91  2 2 4
45.69  1.986  89  0 2 3
19.49  4.554  77  1 1 -1

Computed XRD peak list of RbPd2Pt2 for Cu Kα, from the GGA-PBE geometry in Alexandria.

Atomic structure:
```
data_RbPd2Pt2
_chemical_formula_sum 'Rb2 Pd4 Pt4'
_symmetry_space_group_name_H-M 'P 4/m b m'
_symmetry_Int_Tables_number 127
_symmetry_space_group_name_Hall '-P 4 2ab'
_cell_length_a 8.2680
_cell_length_b 8.2680
_cell_length_c 2.7811
_cell_angle_alpha 90.00
_cell_angle_beta 90.00
_cell_angle_gamma 90.00
loop_
_atom_site_label
_atom_site_type_symbol
_atom_site_fract_x
_atom_site_fract_y
_atom_site_fract_z
Rb1 Rb 0.0000 0.0000 0.0000
Pd1 Pd 0.1255 0.3745 0.0000
Pt1 Pt 0.1707 0.6707 0.5000
```

Most intense lines, 10 to 90 degrees two-theta, most intense first:
2theta  d_spacing  I/Imax  hkl
40.59  2.223  1000  2 1 1
34.30  2.615  597  3 1 0
39.03  2.308  252  2 0 1
56.58  1.627  193  4 1 1
45.22  2.005  181  4 1 0
15.15  5.846  179  1 1 0
70.00  1.344  178  5 2 1
24.07  3.698  162  2 1 0
46.61  1.949  146  3 3 0
57.77  1.596  122  3 3 1
30.58  2.923  112  2 2 0
77.79  1.228  111  3 1 2